# 1
# MgTiNiP2O9
Computed PXRD pattern, Cu Kα. Input: DFT lattice parameters and positions (PBE+U).
Intensities are scaled so that the largest is 100.

Most intense lines, 2θ from 15° to 90°, in order of falling intensity:
2θ = 25.08°, 3.551 Å, rel. 100
2θ = 31.51°, 2.839 Å, rel. 60
2θ = 17.37°, 5.106 Å, rel. 48
2θ = 33.79°, 2.653 Å, rel. 39
2θ = 57.67°, 1.598 Å, rel. 35
2θ = 40.13°, 2.247 Å, rel. 33
2θ = 27.88°, 3.200 Å, rel. 32
2θ = 22.36°, 3.976 Å, rel. 28
2θ = 36.34°, 2.472 Å, rel. 27
2θ = 28.30°, 3.154 Å, rel. 23

Atomic structure:
```
data_MgTiNiP2O9
_chemical_formula_sum 'Mg4 Ti4 Ni4 P8 O36'
_cell_length_a 14.2258
_cell_length_b 6.3082
_cell_length_c 7.3331
_cell_angle_alpha 90.00
_cell_angle_beta 90.00
_cell_angle_gamma 90.00
_space_group_name_H-M_alt 'P n m a'
_space_group_IT_number 62
loop_
_space_group_symop_operation_xyz
'x,y,z'
'-x,-y,-z'
'-x+1/2,-y,z+1/2'
'x+1/2,y,-z+1/2'
'x+1/2,-y+1/2,-z+1/2'
'-x+1/2,y+1/2,z+1/2'
'-x,y+1/2,-z'
'x,-y+1/2,z'
loop_
_atom_site_label
_atom_site_type_symbol
_atom_site_fract_x
_atom_site_fract_y
_atom_site_fract_z
Mg1 Mg 0.2221 0.2500 0.1112
Ti1 Ti 0.1163 0.2500 0.6527
Ni1 Ni 0.0000 0.0000 0.0000
P1 P 0.0698 0.7500 0.6446
P2 P 0.1957 0.7500 0.1093
O1 O 0.0072 0.2500 0.4999
O2 O 0.0235 0.7500 0.8325
O3 O 0.0538 0.2500 0.8572
O4 O 0.1393 0.5385 0.1094
O5 O 0.1390 0.5615 0.6221
O6 O 0.2313 0.2500 0.4500
O7 O 0.2407 0.2500 0.7874
```

# 2
# MgVNiP2O9
Computed PXRD pattern, Cu Kα. Input: DFT lattice parameters and positions (PBE+U).
Intensities are scaled so that the largest is 100.

Most intense lines, 2θ from 15° to 90°, in order of falling intensity:
2θ = 25.17°, 3.538 Å, rel. 100
2θ = 31.60°, 2.831 Å, rel. 62
2θ = 17.44°, 5.086 Å, rel. 51
2θ = 33.93°, 2.642 Å, rel. 35
2θ = 57.89°, 1.593 Å, rel. 35
2θ = 40.28°, 2.239 Å, rel. 32
2θ = 22.44°, 3.962 Å, rel. 32
2θ = 27.99°, 3.188 Å, rel. 30
2θ = 36.45°, 2.465 Å, rel. 24
2θ = 28.37°, 3.146 Å, rel. 24

Atomic structure:
```
data_MgVNiP2O9
_chemical_formula_sum 'Mg4 V4 Ni4 P8 O36'
_cell_length_a 14.1695
_cell_length_b 6.2923
_cell_length_c 7.3066
_cell_angle_alpha 90.00
_cell_angle_beta 90.00
_cell_angle_gamma 90.00
_space_group_name_H-M_alt 'P n m a'
_space_group_IT_number 62
loop_
_space_group_symop_operation_xyz
'x,y,z'
'-x,-y,-z'
'-x+1/2,-y,z+1/2'
'x+1/2,y,-z+1/2'
'x+1/2,-y+1/2,-z+1/2'
'-x+1/2,y+1/2,z+1/2'
'-x,y+1/2,-z'
'x,-y+1/2,z'
loop_
_atom_site_label
_atom_site_type_symbol
_atom_site_fract_x
_atom_site_fract_y
_atom_site_fract_z
Mg1 Mg 0.2242 0.2500 0.1106
V1 V 0.1180 0.2500 0.6534
Ni1 Ni 0.0000 0.0000 0.0000
P1 P 0.0680 0.7500 0.6454
P2 P 0.1952 0.7500 0.1166
O1 O 0.0091 0.2500 0.4971
O2 O 0.0213 0.7500 0.8329
O3 O 0.0563 0.2500 0.8553
O4 O 0.1389 0.5392 0.1090
O5 O 0.1388 0.5627 0.6261
O6 O 0.2288 0.2500 0.4583
O7 O 0.2428 0.2500 0.7956
```

# 3
# PrMgNi4O12
Computed PXRD pattern, Cu Kα. Input: DFT lattice parameters and positions (PBE+U).
Intensities are scaled so that the largest is 100.

Most intense lines, 2θ from 15° to 90°, in order of falling intensity:
2θ = 20.76°, 4.279 Å, rel. 100
2θ = 34.89°, 2.571 Å, rel. 74
2θ = 34.34°, 2.612 Å, rel. 70
2θ = 33.40°, 2.682 Å, rel. 52
2θ = 62.81°, 1.479 Å, rel. 36
2θ = 17.24°, 5.142 Å, rel. 35
2θ = 59.94°, 1.543 Å, rel. 31
2θ = 47.10°, 1.929 Å, rel. 28
2θ = 61.04°, 1.518 Å, rel. 26
2θ = 41.74°, 2.164 Å, rel. 22

Atomic structure:
```
data_PrMgNi4O12
_chemical_formula_sum 'Pr2 Mg2 Ni8 O24'
_cell_length_a 7.7178
_cell_length_b 7.0952
_cell_length_c 7.4630
_cell_angle_alpha 90.00
_cell_angle_beta 90.00
_cell_angle_gamma 90.00
_space_group_name_H-M_alt 'A m m 2'
_space_group_IT_number 38
loop_
_space_group_symop_operation_xyz
'x,y,z'
'-x,-y,z'
'-x,y,z'
'x,-y,z'
'x,y+1/2,z+1/2'
'-x,-y+1/2,z+1/2'
'-x,y+1/2,z+1/2'
'x,-y+1/2,z+1/2'
loop_
_atom_site_label
_atom_site_type_symbol
_atom_site_fract_x
_atom_site_fract_y
_atom_site_fract_z
Pr1 Pr 0.0000 0.0000 0.0000
Mg1 Mg 0.5000 0.0000 0.4490
Ni1 Ni 0.2624 0.2471 0.7158
O1 O 0.0000 0.1949 0.7097
O2 O 0.1942 0.0000 0.2731
O3 O 0.2626 0.1845 0.9658
O4 O 0.3249 0.0000 0.6459
O5 O 0.5000 0.1758 0.2399
```

# 4
# Pr2MgNi2O6
Computed PXRD pattern, Cu Kα. Input: DFT lattice parameters and positions (PBE+U).
Intensities are scaled so that the largest is 100.

Most intense lines, 2θ from 15° to 90°, in order of falling intensity:
2θ = 30.93°, 2.891 Å, rel. 100
2θ = 33.30°, 2.691 Å, rel. 62
2θ = 33.60°, 2.668 Å, rel. 31
2θ = 16.74°, 5.296 Å, rel. 21
2θ = 55.07°, 1.668 Å, rel. 20
2θ = 20.91°, 4.248 Å, rel. 16
2θ = 46.21°, 1.965 Å, rel. 15
2θ = 56.36°, 1.633 Å, rel. 15
2θ = 56.51°, 1.628 Å, rel. 15
2θ = 46.40°, 1.957 Å, rel. 14

Atomic structure:
```
data_Pr2MgNi2O6
_chemical_formula_sum 'Pr2 Mg1 Ni2 O6'
_cell_length_a 5.7725
_cell_length_b 5.7847
_cell_length_c 6.2342
_cell_angle_alpha 62.56
_cell_angle_beta 63.09
_cell_angle_gamma 60.11
_space_group_name_H-M_alt 'P 1'
_space_group_IT_number 1
loop_
_space_group_symop_operation_xyz
'x,y,z'
loop_
_atom_site_label
_atom_site_type_symbol
_atom_site_fract_x
_atom_site_fract_y
_atom_site_fract_z
Pr1 Pr 0.0000 0.0000 0.0000
Pr2 Pr 0.4005 0.4048 0.7902
Mg1 Mg 0.7698 0.7742 0.6798
Ni1 Ni 0.1968 0.2003 0.4024
Ni2 Ni 0.6010 0.6004 0.2016
O1 O 0.0758 0.8486 0.6521
O2 O 0.3395 0.5553 0.1354
O3 O 0.4170 0.0803 0.6547
O4 O 0.5547 0.9718 0.1370
O5 O 0.8433 0.4232 0.6503
O6 O 0.9713 0.3403 0.1333
```

# 5
# Pr2MgNi2O6
Computed PXRD pattern, Cu Kα. Input: DFT lattice parameters and positions (PBE+U).
Intensities are scaled so that the largest is 100.

Most intense lines, 2θ from 15° to 90°, in order of falling intensity:
2θ = 28.89°, 3.090 Å, rel. 100
2θ = 29.18°, 3.061 Å, rel. 75
2θ = 32.93°, 2.720 Å, rel. 65
2θ = 34.85°, 2.574 Å, rel. 58
2θ = 33.89°, 2.645 Å, rel. 54
2θ = 33.34°, 2.688 Å, rel. 47
2θ = 19.21°, 4.621 Å, rel. 45
2θ = 32.68°, 2.741 Å, rel. 37
2θ = 21.89°, 4.061 Å, rel. 36
2θ = 30.08°, 2.971 Å, rel. 35

Atomic structure:
```
data_Pr2MgNi2O6
_chemical_formula_sum 'Pr2 Mg1 Ni2 O6'
_cell_length_a 5.2454
_cell_length_b 5.5145
_cell_length_c 5.7427
_cell_angle_alpha 111.06
_cell_angle_beta 106.59
_cell_angle_gamma 98.27
_space_group_name_H-M_alt 'P 1'
_space_group_IT_number 1
loop_
_space_group_symop_operation_xyz
'x,y,z'
loop_
_atom_site_label
_atom_site_type_symbol
_atom_site_fract_x
_atom_site_fract_y
_atom_site_fract_z
Pr1 Pr 0.0000 0.0000 0.0000
Pr2 Pr 0.3781 0.4864 0.7712
Mg1 Mg 0.6839 0.7403 0.3889
Ni1 Ni 0.1851 0.7485 0.3926
Ni2 Ni 0.6880 0.2405 0.3922
O1 O 0.3818 0.3961 0.2816
O2 O 0.4117 0.8856 0.1934
O3 O 0.5401 0.8881 0.7161
O4 O 0.8323 0.6065 0.0675
O5 O 0.9601 0.5977 0.5870
O6 O 0.9931 0.0887 0.5160
```

# 6
# Sr4MgRe2NiO12
Computed PXRD pattern, Cu Kα. Input: DFT lattice parameters and positions (PBE+U).
Intensities are scaled so that the largest is 100.

Most intense lines, 2θ from 15° to 90°, in order of falling intensity:
2θ = 31.58°, 2.833 Å, rel. 100
2θ = 28.49°, 3.133 Å, rel. 75
2θ = 43.04°, 2.101 Å, rel. 43
2θ = 18.35°, 4.836 Å, rel. 30
2θ = 54.36°, 1.688 Å, rel. 24
2θ = 56.24°, 1.636 Å, rel. 23
2θ = 65.95°, 1.417 Å, rel. 22
2θ = 18.68°, 4.749 Å, rel. 18
2θ = 36.94°, 2.433 Å, rel. 17
2θ = 23.93°, 3.719 Å, rel. 16

Atomic structure:
```
data_Sr4MgRe2NiO12
_chemical_formula_sum 'Sr12 Mg3 Re6 Ni3 O36'
_cell_length_a 5.6663
_cell_length_b 5.6663
_cell_length_c 28.4953
_cell_angle_alpha 90.00
_cell_angle_beta 90.00
_cell_angle_gamma 120.00
_space_group_name_H-M_alt 'R -3 m'
_space_group_IT_number 166
_space_group_name_Hall '-R 3 2"'
loop_
_atom_site_label
_atom_site_type_symbol
_atom_site_fract_x
_atom_site_fract_y
_atom_site_fract_z
Sr1 Sr 0.0000 0.0000 0.1323
Sr2 Sr 0.0000 0.0000 0.2822
Mg1 Mg 0.0000 0.0000 0.5000
Re1 Re 0.0000 0.0000 0.4089
Ni1 Ni 0.0000 0.0000 0.0000
O1 O 0.0070 0.5035 0.2926
O2 O 0.0160 0.5080 0.1200
```

# 7
# Sr2MgNiRuO6
Computed PXRD pattern, Cu Kα. Input: DFT lattice parameters and positions (PBE+U).
Intensities are scaled so that the largest is 100.

Most intense lines, 2θ from 15° to 90°, in order of falling intensity:
2θ = 29.92°, 2.986 Å, rel. 100
2θ = 33.07°, 2.709 Å, rel. 83
2θ = 29.74°, 3.004 Å, rel. 59
2θ = 30.38°, 2.943 Å, rel. 55
2θ = 43.03°, 2.102 Å, rel. 43
2θ = 20.77°, 4.278 Å, rel. 43
2θ = 54.93°, 1.672 Å, rel. 22
2θ = 32.61°, 2.746 Å, rel. 22
2θ = 51.62°, 1.771 Å, rel. 22
2θ = 52.89°, 1.731 Å, rel. 20

Atomic structure:
```
data_Sr2MgNiRuO6
_chemical_formula_sum 'Sr4 Mg2 Ni2 Ru2 O12'
_cell_length_a 10.4008
_cell_length_b 6.0079
_cell_length_c 6.1648
_cell_angle_alpha 90.00
_cell_angle_beta 117.03
_cell_angle_gamma 90.00
_space_group_name_H-M_alt 'C 1 m 1'
_space_group_IT_number 8
loop_
_space_group_symop_operation_xyz
'x,y,z'
'x,-y,z'
'x+1/2,y+1/2,z'
'x+1/2,-y+1/2,z'
loop_
_atom_site_label
_atom_site_type_symbol
_atom_site_fract_x
_atom_site_fract_y
_atom_site_fract_z
Sr1 Sr 0.0000 0.0000 0.0000
Sr2 Sr 0.1262 0.5000 0.7638
Mg1 Mg 0.3922 0.0000 0.0878
Ni1 Ni 0.2956 0.5000 0.2987
Ru1 Ru 0.2378 0.0000 0.5682
O1 O 0.0731 0.0000 0.5947
O2 O 0.0792 0.5000 0.1090
O3 O 0.3154 0.2837 0.0743
O4 O 0.3252 0.2624 0.5756
```

# 8
# Sr2MgNiRuO6
Computed PXRD pattern, Cu Kα. Input: DFT lattice parameters and positions (PBE+U).
Intensities are scaled so that the largest is 100.

Most intense lines, 2θ from 15° to 90°, in order of falling intensity:
2θ = 30.64°, 2.918 Å, rel. 100
2θ = 33.87°, 2.647 Å, rel. 72
2θ = 56.55°, 1.627 Å, rel. 37
2θ = 46.31°, 1.961 Å, rel. 31
2θ = 42.69°, 2.118 Å, rel. 22
2θ = 18.46°, 4.807 Å, rel. 21
2θ = 62.54°, 1.485 Å, rel. 21
2θ = 63.79°, 1.459 Å, rel. 20
2θ = 54.46°, 1.685 Å, rel. 19
2θ = 29.00°, 3.079 Å, rel. 16

Atomic structure:
```
data_Sr2MgNiRuO6
_chemical_formula_sum 'Sr6 Mg3 Ni3 Ru3 O18'
_cell_length_a 5.8366
_cell_length_b 5.8366
_cell_length_c 15.5334
_cell_angle_alpha 90.00
_cell_angle_beta 90.00
_cell_angle_gamma 120.00
_space_group_name_H-M_alt 'R 3 m'
_space_group_IT_number 160
_space_group_name_Hall 'R 3 -2"'
loop_
_atom_site_label
_atom_site_type_symbol
_atom_site_fract_x
_atom_site_fract_y
_atom_site_fract_z
Sr1 Sr 0.0000 0.0000 0.0000
Sr2 Sr 0.0000 0.0000 0.4266
Mg1 Mg 0.0000 0.0000 0.6541
Ni1 Ni 0.0000 0.0000 0.8145
Ru1 Ru 0.0000 0.0000 0.2131
O1 O 0.0274 0.5137 0.9587
O2 O 0.1773 0.3547 0.7939
```

# 9
# Sr2MgNiRuO6
Computed PXRD pattern, Cu Kα. Input: DFT lattice parameters and positions (PBE+U).
Intensities are scaled so that the largest is 100.

Most intense lines, 2θ from 15° to 90°, in order of falling intensity:
2θ = 29.16°, 3.063 Å, rel. 100
2θ = 45.44°, 1.996 Å, rel. 64
2θ = 31.44°, 2.845 Å, rel. 48
2θ = 31.94°, 2.802 Å, rel. 46
2θ = 32.35°, 2.768 Å, rel. 35
2θ = 18.15°, 4.888 Å, rel. 30
2θ = 45.73°, 1.984 Å, rel. 28
2θ = 32.22°, 2.778 Å, rel. 28
2θ = 44.20°, 2.049 Å, rel. 27
2θ = 18.58°, 4.775 Å, rel. 27

Atomic structure:
```
data_Sr2MgNiRuO6
_chemical_formula_sum 'Sr4 Mg2 Ni2 Ru2 O12'
_cell_length_a 5.6032
_cell_length_b 5.6900
_cell_length_c 9.5498
_cell_angle_alpha 90.00
_cell_angle_beta 90.00
_cell_angle_gamma 90.00
_space_group_name_H-M_alt 'I m m m'
_space_group_IT_number 71
_space_group_name_Hall '-I 2 2'
loop_
_atom_site_label
_atom_site_type_symbol
_atom_site_fract_x
_atom_site_fract_y
_atom_site_fract_z
Sr1 Sr 0.0000 0.0000 0.1771
Mg1 Mg 0.0000 0.0000 0.5000
Ni1 Ni 0.0000 0.5000 0.0000
Ru1 Ru 0.0000 0.5000 0.5000
O1 O 0.0000 0.5000 0.2900
O2 O 0.2461 0.2566 0.0000
```

# 10
# MgNi2Sb4O12
Computed PXRD pattern, Cu Kα. Input: DFT lattice parameters and positions (PBE+U).
Intensities are scaled so that the largest is 100.

Most intense lines, 2θ from 15° to 90°, in order of falling intensity:
2θ = 21.91°, 4.057 Å, rel. 100
2θ = 26.88°, 3.317 Å, rel. 94
2θ = 33.04°, 2.711 Å, rel. 58
2θ = 33.75°, 2.655 Å, rel. 56
2θ = 34.94°, 2.568 Å, rel. 29
2θ = 52.02°, 1.758 Å, rel. 28
2θ = 51.52°, 1.774 Å, rel. 22
2θ = 28.48°, 3.134 Å, rel. 19
2θ = 47.15°, 1.928 Å, rel. 19
2θ = 45.52°, 1.993 Å, rel. 16

Atomic structure:
```
data_MgNi2Sb4O12
_chemical_formula_sum 'Mg2 Ni4 Sb8 O24'
_cell_length_a 8.1186
_cell_length_b 6.6337
_cell_length_c 9.4450
_cell_angle_alpha 90.00
_cell_angle_beta 92.11
_cell_angle_gamma 90.00
_space_group_name_H-M_alt 'C 1 m 1'
_space_group_IT_number 8
loop_
_space_group_symop_operation_xyz
'x,y,z'
'x,-y,z'
'x+1/2,y+1/2,z'
'x+1/2,-y+1/2,z'
loop_
_atom_site_label
_atom_site_type_symbol
_atom_site_fract_x
_atom_site_fract_y
_atom_site_fract_z
Mg1 Mg 0.0000 0.0000 0.0000
Ni1 Ni 0.3245 0.0000 0.9964
Ni2 Ni 0.3505 0.5000 0.5101
Sb1 Sb 0.2014 0.5000 0.1995
Sb2 Sb 0.2195 0.5000 0.8194
Sb3 Sb 0.2709 0.0000 0.3429
Sb4 Sb 0.2760 0.0000 0.6695
O1 O 0.1036 0.0000 0.5055
O2 O 0.1379 0.0000 0.1652
O3 O 0.1398 0.0000 0.8336
O4 O 0.2721 0.3037 0.3542
O5 O 0.2827 0.3089 0.6674
O6 O 0.3115 0.3096 0.9666
O7 O 0.4294 0.0000 0.5120
O8 O 0.4536 0.0000 0.1993
O9 O 0.4802 0.0000 0.8220
```